No. 1
The following is a calculated X-ray diffraction stick pattern of PrTcBrO4. It was derived from DFT lattice parameters and positions (PBE), using λ = 1.5418 Å (Cu Kα).
Peak positions follow from Bragg's law for the DFT cell and can differ from measured ones.

Principal peaks in the range 15° ≤ 2θ ≤ 90°, low angle first:
| 2θ (°) | Rel. int. |
| --- | --- |
| 23.61 | 43 |
| 23.96 | 100 |
| 27.92 | 24 |
| 28.26 | 53 |
| 33.93 | 59 |
| 44.69 | 22 |

Structure:
```
data_PrTcBrO4
_space_group_name_H-M_alt 'C 1 2/m 1'
_space_group_IT_number 12
_space_group_name_Hall '-C 2y'
_cell_length_a 10.8538
_cell_length_b 7.4288
_cell_length_c 7.1084
_cell_angle_alpha 90.00
_cell_angle_beta 104.00
_cell_angle_gamma 90.00
loop_
_atom_site_label
_atom_site_type_symbol
_atom_site_fract_x
_atom_site_fract_y
_atom_site_fract_z
Pr1 Pr 0.2271 0.0000 0.1125
Tc1 Tc 0.1325 0.5000 0.2761
Br1 Br 0.0148 0.0000 0.7536
O1 O 0.0336 0.5000 0.7839
O2 O 0.1929 0.3218 0.1432
O3 O 0.2105 0.5000 0.5224
```

***

No. 2
The following is a calculated X-ray diffraction stick pattern of BaVCr2. It was derived from DFT lattice parameters and positions (PBE), using λ = 1.5418 Å (Cu Kα).
Peak positions follow from Bragg's law for the DFT cell and can differ from measured ones.

Principal peaks in the range 15° ≤ 2θ ≤ 90°, low angle first:
| 2θ (°) | Rel. int. |
| --- | --- |
| 21.78 | 18 |
| 35.94 | 100 |
| 42.42 | 10 |
| 51.74 | 17 |
| 64.61 | 33 |
| 87.25 | 14 |

Structure:
```
data_BaVCr2
_space_group_name_H-M_alt 'F m -3 m'
_space_group_IT_number 225
_space_group_name_Hall '-F 4 2 3'
_cell_length_a 7.0669
_cell_length_b 7.0669
_cell_length_c 7.0669
_cell_angle_alpha 90.00
_cell_angle_beta 90.00
_cell_angle_gamma 90.00
loop_
_atom_site_label
_atom_site_type_symbol
_atom_site_fract_x
_atom_site_fract_y
_atom_site_fract_z
Ba1 Ba 0.0000 0.0000 0.0000
V1 V 0.0000 0.0000 0.5000
Cr1 Cr 0.2500 0.2500 0.2500
```

***

No. 3
The following is a calculated X-ray diffraction stick pattern of Ca3Sn4Pd8. It was derived from DFT lattice parameters and positions (PBE), using λ = 1.5418 Å (Cu Kα).
Peak positions follow from Bragg's law for the DFT cell and can differ from measured ones.

Principal peaks in the range 15° ≤ 2θ ≤ 90°, low angle first:
| 2θ (°) | Rel. int. |
| --- | --- |
| 23.17 | 17 |
| 35.06 | 24 |
| 38.28 | 100 |
| 40.11 | 19 |
| 45.22 | 24 |
| 69.21 | 25 |

Structure:
```
data_Ca3Sn4Pd8
_space_group_name_H-M_alt 'F m -3 m'
_space_group_IT_number 225
_space_group_name_Hall '-F 4 2 3'
_cell_length_a 13.3006
_cell_length_b 13.3006
_cell_length_c 13.3006
_cell_angle_alpha 90.00
_cell_angle_beta 90.00
_cell_angle_gamma 90.00
loop_
_atom_site_label
_atom_site_type_symbol
_atom_site_fract_x
_atom_site_fract_y
_atom_site_fract_z
Ca1 Ca 0.0000 0.0000 0.2291
Sn1 Sn 0.0000 0.0000 0.0000
Sn2 Sn 0.0000 0.0000 0.5000
Sn3 Sn 0.0000 0.2500 0.2500
Pd1 Pd 0.1207 0.1207 0.3793
Pd2 Pd 0.1681 0.1681 0.1681
```